Starting from a structure optimized by DFT (PBE+U), the X-ray powder pattern of Mn3P4O14 was simulated for CuKα.
Kinematic intensities with the Lorentz-polarization factor, no thermal factor.

Peak list (12 most intense, 10 to 90 degrees two-theta, in order of rising 2θ)
- d 6.777, 2θ = 13.06°, intensity 100
- d 6.055, 2θ = 14.63°, intensity 50
- d 5.146, 2θ = 17.23°, intensity 91
- d 3.258, 2θ = 27.38°, intensity 28
- d 3.089, 2θ = 28.90°, intensity 70
- d 3.063, 2θ = 29.16°, intensity 48
- d 3.039, 2θ = 29.39°, intensity 72
- d 3.028, 2θ = 29.50°, intensity 63
- d 2.703, 2θ = 33.15°, intensity 34
- d 2.617, 2θ = 34.27°, intensity 47
- d 2.368, 2θ = 38.01°, intensity 32
- d 2.098, 2θ = 43.12°, intensity 28

Cell and atoms:
Cell lengths 7.2134, 8.2163, 9.5337 Å; angles 90.00, 110.04, 90.00 degrees
Atoms (fractional coordinates):
Mn 0.0000 0.0000 0.0000
Mn 0.0000 0.5000 0.5000
Mn 0.1941 0.1311 0.5252
Mn 0.1941 0.3689 0.0252
Mn 0.8059 0.6311 0.9748
Mn 0.8059 0.8689 0.4748
P 0.1073 0.7142 0.8010
P 0.1073 0.7858 0.3010
P 0.4015 0.0395 0.2935
P 0.4015 0.4605 0.7935
P 0.5985 0.5395 0.2065
P 0.5985 0.9605 0.7065
P 0.8927 0.2142 0.6990
P 0.8927 0.2858 0.1990
O 0.0085 0.2189 0.8704
O 0.0085 0.2811 0.3704
O 0.0192 0.5886 0.8837
O 0.0192 0.9114 0.3837
O 0.1392 0.6226 0.3757
O 0.1392 0.8774 0.8757
O 0.2840 0.1087 0.1394
O 0.2840 0.3913 0.6394
O 0.3153 0.6403 0.8072
O 0.3153 0.8597 0.3072
O 0.3758 0.1463 0.4182
O 0.3758 0.3537 0.9182
O 0.3804 0.5069 0.1823
O 0.3804 0.9931 0.6823
O 0.6196 0.0069 0.3177
O 0.6196 0.4931 0.8177
O 0.6242 0.6463 0.0818
O 0.6242 0.8537 0.5818
O 0.6847 0.1403 0.6928
O 0.6847 0.3597 0.1928
O 0.7160 0.6087 0.3606
O 0.7160 0.8913 0.8606
O 0.8608 0.1226 0.1243
O 0.8608 0.3774 0.6243
O 0.9808 0.0886 0.6163
O 0.9808 0.4114 0.1163
O 0.9915 0.7189 0.6296
O 0.9915 0.7811 0.1296


Starting from a structure optimized by DFT (PBE+U), the X-ray powder pattern of MnPO4 was simulated for CuKα.
Kinematic intensities with the Lorentz-polarization factor, no thermal factor.

Peak list (12 most intense, 10 to 90 degrees two-theta, in order of rising 2θ)
- d 6.017, 2θ = 14.72°, intensity 100
- d 5.269, 2θ = 16.83°, intensity 38
- d 3.964, 2θ = 22.43°, intensity 16
- d 3.372, 2θ = 26.43°, intensity 15
- d 3.240, 2θ = 27.53°, intensity 61
- d 3.025, 2θ = 29.53°, intensity 15
- d 2.972, 2θ = 30.07°, intensity 14
- d 2.736, 2θ = 32.73°, intensity 18
- d 2.634, 2θ = 34.03°, intensity 16
- d 2.612, 2θ = 34.33°, intensity 35
- d 2.578, 2θ = 34.80°, intensity 23
- d 2.241, 2θ = 40.24°, intensity 25

Cell and atoms:
Cell lengths 8.4948, 8.4948, 6.8850 Å; angles 109.70, 109.70, 90.19 degrees
Atoms (fractional coordinates):
Mn 0.1191 0.4359 0.8633
Mn 0.2268 0.7732 0.7500
Mn 0.4359 0.1191 0.3633
Mn 0.5641 0.8809 0.6367
Mn 0.7732 0.2268 0.2500
Mn 0.8809 0.5641 0.1367
P 0.1528 0.3792 0.3795
P 0.2070 0.7930 0.2500
P 0.3792 0.1528 0.8795
P 0.6208 0.8472 0.1205
P 0.7930 0.2070 0.7500
P 0.8472 0.6208 0.6205
O 0.0175 0.2365 0.3348
O 0.0276 0.7703 0.2530
O 0.0917 0.4585 0.1954
O 0.1823 0.5195 0.6104
O 0.2297 0.9724 0.2470
O 0.2345 0.6710 0.0389
O 0.2365 0.0175 0.8348
O 0.3150 0.3206 0.8825
O 0.3206 0.3150 0.3825
O 0.3290 0.7655 0.4611
O 0.4585 0.0917 0.6954
O 0.4805 0.8177 0.8896
O 0.5195 0.1823 0.1104
O 0.5415 0.9083 0.3046
O 0.6710 0.2345 0.5389
O 0.6794 0.6850 0.6175
O 0.6850 0.6794 0.1175
O 0.7635 0.9825 0.1652
O 0.7655 0.3290 0.9611
O 0.7703 0.0276 0.7530
O 0.8177 0.4805 0.3896
O 0.9083 0.5415 0.8046
O 0.9724 0.2297 0.7470
O 0.9825 0.7635 0.6652